This entry pairs a crystal structure of NdMnCoSi2 with its simulated X-ray powder pattern. Radiation: copper Kα. Structure: the PBE geometry in Alexandria.

Most intense lines, 10° ≤ 2θ ≤ 90°, by angle:
2θ (°)  I (rel.)
23.9  48
34.9  60
35.8  17
36.5  100
45.3  40
50.9  18
58.5  27
59.0  15
64.7  20
66.1  13
70.5  14
77.9  20

Cell and atoms:
a = 5.7634 Å, b = 5.7634 Å, c = 5.7634 Å
α = 139.39°, β = 139.39°, γ = 58.79°
Fractional positions:
Nd1 0.0000 0.0000 0.0000
Mn1 0.2500 0.7500 0.5000
Co1 0.7500 0.2500 0.5000
Si1 0.3695 0.3695 0.0000
Si2 0.6305 0.6305 0.0000